Ce4C2Se3: calculated powder X-ray diffraction pattern (a wavelength of 1.5418 Å), based on the GGA-PBE geometry in Alexandria.
Peak positions follow from Bragg's law for the DFT cell and can differ from measured ones.

Largest 12 diffraction maxima, sorted by position, 2θ = 5–70°:
two_theta, Rel. int.
26.44, 93
27.15, 79
27.35, 47
28.02, 84
30.74, 49
30.91, 100
33.58, 29
35.30, 82
36.67, 39
39.65, 40
39.82, 59
46.36, 30

Structure:
```
data_Ce4C2Se3
_chemical_formula_sum 'Ce16 C8 Se12'
_symmetry_space_group_name_H-M 'C 1 2/c 1'
_symmetry_Int_Tables_number 15
_cell_length_a 13.140
_cell_length_b 10.100
_cell_length_c 6.371
_cell_angle_alpha 90.00
_cell_angle_beta 91.16
_cell_angle_gamma 90.00
loop_
_symmetry_equiv_pos_as_xyz
'x,y,z'
'-x,-y,-z'
'-x,y,-z+1/2'
'x,-y,z+1/2'
'x+1/2,y+1/2,z'
'-x+1/2,-y+1/2,-z'
'-x+1/2,y+1/2,-z+1/2'
'x+1/2,-y+1/2,z+1/2'
loop_
_atom_site_label
_atom_site_type_symbol
_atom_site_fract_x
_atom_site_fract_y
_atom_site_fract_z
_atom_site_occupancy
Ce1 Ce 0.123 0.180 0.469 1
Ce2 Ce 0.164 0.421 0.935 1
C1 C 0.206 0.374 0.587 1
Se1 Se 0.000 0.403 0.250 1
Se2 Se 0.114 0.129 0.972 1
```

Ce5CSe4: calculated powder X-ray diffraction pattern (a wavelength of 1.5418 Å), based on the GGA-PBE geometry in Alexandria.
Peak positions follow from Bragg's law for the DFT cell and can differ from measured ones.

Largest 12 diffraction maxima, sorted by position, 2θ = 5–70°:
two_theta, Rel. int.
26.49, 29
30.61, 100
30.83, 36
35.33, 13
39.63, 7
43.84, 35
44.00, 54
51.95, 10
54.55, 28
57.51, 6
63.73, 11
65.15, 8

Structure:
```
data_Ce5CSe4
_chemical_formula_sum 'Ce10 C2 Se8'
_symmetry_space_group_name_H-M 'I 4/m m m'
_symmetry_Int_Tables_number 139
_symmetry_space_group_name_Hall '-I 4 2'
_cell_length_a 4.130
_cell_length_b 4.130
_cell_length_c 29.006
_cell_angle_alpha 90.00
_cell_angle_beta 90.00
_cell_angle_gamma 90.00
loop_
_atom_site_label
_atom_site_type_symbol
_atom_site_fract_x
_atom_site_fract_y
_atom_site_fract_z
_atom_site_occupancy
Ce1 Ce 0.000 0.000 0.000 1
Ce2 Ce 0.000 0.000 0.201 1
Ce3 Ce 0.000 0.000 0.415 1
C1 C 0.000 0.000 0.500 1
Se1 Se 0.000 0.000 0.100 1
Se2 Se 0.000 0.000 0.305 1
```

CeCSe: calculated powder X-ray diffraction pattern (a wavelength of 1.5418 Å), based on the GGA-PBE geometry in Alexandria.
Peak positions follow from Bragg's law for the DFT cell and can differ from measured ones.

Largest 12 diffraction maxima, sorted by position, 2θ = 5–70°:
two_theta, Rel. int.
13.48, 86
16.82, 67
23.63, 67
27.15, 29
28.00, 100
31.08, 90
31.77, 63
39.41, 36
42.21, 32
42.42, 32
44.92, 42
55.20, 26

Structure:
```
data_CeCSe
_chemical_formula_sum 'Ce2 C2 Se2'
_symmetry_space_group_name_H-M 'P -1'
_symmetry_Int_Tables_number 2
_cell_length_a 4.110
_cell_length_b 5.756
_cell_length_c 7.261
_cell_angle_alpha 67.00
_cell_angle_beta 80.16
_cell_angle_gamma 89.95
loop_
_symmetry_equiv_pos_as_xyz
'x,y,z'
'-x,-y,-z'
loop_
_atom_site_label
_atom_site_type_symbol
_atom_site_fract_x
_atom_site_fract_y
_atom_site_fract_z
_atom_site_occupancy
Ce1 Ce 0.192 0.149 0.206 1
C1 C 0.359 0.968 0.563 1
Se1 Se 0.206 0.689 0.124 1
```

Ce3CSe3: calculated powder X-ray diffraction pattern (a wavelength of 1.5418 Å), based on the GGA-PBE geometry in Alexandria.
Peak positions follow from Bragg's law for the DFT cell and can differ from measured ones.

Largest 12 diffraction maxima, sorted by position, 2θ = 5–70°:
two_theta, Rel. int.
16.57, 14
24.77, 14
26.41, 22
27.48, 16
28.37, 100
33.49, 46
34.31, 39
36.61, 38
37.80, 23
40.31, 19
42.30, 18
47.78, 16

Structure:
```
data_Ce3CSe3
_chemical_formula_sum 'Ce12 C4 Se12'
_symmetry_space_group_name_H-M 'C 1 2/m 1'
_symmetry_Int_Tables_number 12
_cell_length_a 8.160
_cell_length_b 12.299
_cell_length_c 7.323
_cell_angle_alpha 90.00
_cell_angle_beta 101.00
_cell_angle_gamma 90.00
loop_
_symmetry_equiv_pos_as_xyz
'x,y,z'
'-x,-y,-z'
'-x,y,-z'
'x,-y,z'
'x+1/2,y+1/2,z'
'-x+1/2,-y+1/2,-z'
'-x+1/2,y+1/2,-z'
'x+1/2,-y+1/2,z'
loop_
_atom_site_label
_atom_site_type_symbol
_atom_site_fract_x
_atom_site_fract_y
_atom_site_fract_z
_atom_site_occupancy
Ce1 Ce 0.105 0.000 0.315 1
Ce2 Ce 0.195 0.349 0.221 1
C1 C 0.173 0.000 0.646 1
Se1 Se 0.000 0.166 0.000 1
Se2 Se 0.000 0.247 0.500 1
Se3 Se 0.106 0.500 0.850 1
```

Ce10Si2C3: calculated powder X-ray diffraction pattern (a wavelength of 1.5418 Å), based on the GGA-PBE geometry in Alexandria.
Peak positions follow from Bragg's law for the DFT cell and can differ from measured ones.

Largest 12 diffraction maxima, sorted by position, 2θ = 5–70°:
two_theta, Rel. int.
23.77, 18
30.71, 28
31.43, 19
32.40, 76
33.55, 49
33.73, 100
34.87, 40
35.69, 77
42.56, 20
53.59, 30
57.32, 24
63.62, 19

Structure:
```
data_Ce10Si2C3
_chemical_formula_sum 'Ce40 Si8 C12'
_symmetry_space_group_name_H-M 'C 1 2/m 1'
_symmetry_Int_Tables_number 12
_cell_length_a 22.793
_cell_length_b 6.728
_cell_length_c 9.248
_cell_angle_alpha 90.00
_cell_angle_beta 110.38
_cell_angle_gamma 90.00
loop_
_symmetry_equiv_pos_as_xyz
'x,y,z'
'-x,-y,-z'
'-x,y,-z'
'x,-y,z'
'x+1/2,y+1/2,z'
'-x+1/2,-y+1/2,-z'
'-x+1/2,y+1/2,-z'
'x+1/2,-y+1/2,z'
loop_
_atom_site_label
_atom_site_type_symbol
_atom_site_fract_x
_atom_site_fract_y
_atom_site_fract_z
_atom_site_occupancy
Ce1 Ce 0.000 0.229 0.000 1
Ce2 Ce 0.004 0.000 0.701 1
Ce3 Ce 0.018 0.500 0.700 1
Ce4 Ce 0.117 0.214 0.563 1
Ce5 Ce 0.130 0.500 0.262 1
Ce6 Ce 0.149 0.239 0.973 1
Ce7 Ce 0.246 0.500 0.825 1
Ce8 Ce 0.250 0.250 0.500 1
Si1 Si 0.131 0.000 0.256 1
Si2 Si 0.239 0.000 0.808 1
C1 C 0.000 0.241 0.500 1
C2 C 0.073 0.500 0.983 1
C3 C 0.180 0.500 0.554 1
```

Ce3SmC8: calculated powder X-ray diffraction pattern (a wavelength of 1.5418 Å), based on the GGA-PBE geometry in Alexandria.
Peak positions follow from Bragg's law for the DFT cell and can differ from measured ones.

Largest 12 diffraction maxima, sorted by position, 2θ = 5–70°:
two_theta, Rel. int.
25.99, 100
28.15, 89
29.14, 94
35.48, 34
38.62, 27
44.56, 11
46.55, 56
48.47, 45
52.31, 29
53.45, 19
58.19, 22
59.32, 10

Structure:
```
data_Ce3SmC8
_chemical_formula_sum 'Ce12 Sm4 C32'
_symmetry_space_group_name_H-M 'F m m 2'
_symmetry_Int_Tables_number 42
_symmetry_space_group_name_Hall 'F 2 -2'
_cell_length_a 9.325
_cell_length_b 10.119
_cell_length_c 8.134
_cell_angle_alpha 90.00
_cell_angle_beta 90.00
_cell_angle_gamma 90.00
loop_
_atom_site_label
_atom_site_type_symbol
_atom_site_fract_x
_atom_site_fract_y
_atom_site_fract_z
_atom_site_occupancy
Ce1 Ce 0.000 0.000 0.000 1
Ce2 Ce 0.250 0.250 0.205 1
Sm1 Sm 0.000 0.000 0.495 1
C1 C 0.000 0.166 0.258 1
C2 C 0.000 0.243 0.390 1
C3 C 0.164 0.000 0.755 1
C4 C 0.244 0.000 0.133 1
```

Ce6Sn2C: calculated powder X-ray diffraction pattern (a wavelength of 1.5418 Å), based on the GGA-PBE geometry in Alexandria.
Peak positions follow from Bragg's law for the DFT cell and can differ from measured ones.

Largest 6 diffraction maxima, sorted by position, 2θ = 5–70°:
two_theta, Rel. int.
18.26, 1
31.91, 100
37.01, 52
53.34, 37
63.51, 42
66.70, 12

Structure:
```
data_Ce6Sn2C
_chemical_formula_sum 'Ce12 Sn4 C2'
_symmetry_space_group_name_H-M 'I 4/m m m'
_symmetry_Int_Tables_number 139
_symmetry_space_group_name_Hall '-I 4 2'
_cell_length_a 6.866
_cell_length_b 6.866
_cell_length_c 9.728
_cell_angle_alpha 90.00
_cell_angle_beta 90.00
_cell_angle_gamma 90.00
loop_
_atom_site_label
_atom_site_type_symbol
_atom_site_fract_x
_atom_site_fract_y
_atom_site_fract_z
_atom_site_occupancy
Ce1 Ce 0.000 0.000 0.248 1
Ce2 Ce 0.247 0.247 0.000 1
Sn1 Sn 0.000 0.500 0.250 1
C1 C 0.000 0.000 0.500 1
```

Ce6Sn3C: calculated powder X-ray diffraction pattern (a wavelength of 1.5418 Å), based on the GGA-PBE geometry in Alexandria.
Peak positions follow from Bragg's law for the DFT cell and can differ from measured ones.

Largest 12 diffraction maxima, sorted by position, 2θ = 5–70°:
two_theta, Rel. int.
24.92, 26
28.38, 33
30.03, 58
32.70, 100
32.89, 41
33.91, 25
35.01, 31
36.21, 61
37.07, 24
37.48, 20
45.66, 24
56.86, 16

Structure:
```
data_Ce6Sn3C
_chemical_formula_sum 'Ce12 Sn6 C2'
_symmetry_space_group_name_H-M 'C 1 2/m 1'
_symmetry_Int_Tables_number 12
_cell_length_a 11.002
_cell_length_b 6.476
_cell_length_c 7.854
_cell_angle_alpha 90.00
_cell_angle_beta 106.02
_cell_angle_gamma 90.00
loop_
_symmetry_equiv_pos_as_xyz
'x,y,z'
'-x,-y,-z'
'-x,y,-z'
'x,-y,z'
'x+1/2,y+1/2,z'
'-x+1/2,-y+1/2,-z'
'-x+1/2,y+1/2,-z'
'x+1/2,-y+1/2,z'
loop_
_atom_site_label
_atom_site_type_symbol
_atom_site_fract_x
_atom_site_fract_y
_atom_site_fract_z
_atom_site_occupancy
Ce1 Ce 0.117 0.230 0.389 1
Ce2 Ce 0.135 0.500 0.836 1
Sn1 Sn 0.000 0.000 0.000 1
Sn2 Sn 0.176 0.000 0.760 1
C1 C 0.000 0.500 0.500 1
```

Ce2TaC3: calculated powder X-ray diffraction pattern (a wavelength of 1.5418 Å), based on the GGA-PBE geometry in Alexandria.
Peak positions follow from Bragg's law for the DFT cell and can differ from measured ones.

Largest 12 diffraction maxima, sorted by position, 2θ = 5–70°:
two_theta, Rel. int.
29.30, 100
30.64, 14
31.02, 59
39.51, 55
41.91, 43
42.87, 11
46.69, 11
52.99, 14
55.26, 11
58.91, 18
63.77, 23
64.56, 20

Structure:
```
data_Ce2TaC3
_chemical_formula_sum 'Ce8 Ta4 C12'
_symmetry_space_group_name_H-M 'C m c m'
_symmetry_Int_Tables_number 63
_symmetry_space_group_name_Hall '-C 2c 2'
_cell_length_a 3.324
_cell_length_b 18.262
_cell_length_c 6.106
_cell_angle_alpha 90.00
_cell_angle_beta 90.00
_cell_angle_gamma 90.00
loop_
_atom_site_label
_atom_site_type_symbol
_atom_site_fract_x
_atom_site_fract_y
_atom_site_fract_z
_atom_site_occupancy
Ce1 Ce 0.000 0.007 0.250 1
Ce2 Ce 0.000 0.162 0.750 1
Ta1 Ta 0.000 0.340 0.750 1
C1 C 0.000 0.229 0.250 1
C2 C 0.000 0.414 0.005 1
```

Ce2Ta2C3: calculated powder X-ray diffraction pattern (a wavelength of 1.5418 Å), based on the GGA-PBE geometry in Alexandria.
Peak positions follow from Bragg's law for the DFT cell and can differ from measured ones.

Largest 12 diffraction maxima, sorted by position, 2θ = 5–70°:
two_theta, Rel. int.
17.88, 15
29.72, 14
30.42, 53
31.58, 44
32.49, 20
33.40, 100
35.27, 82
36.22, 19
41.34, 27
53.94, 17
54.06, 21
56.14, 19

Structure:
```
data_Ce2Ta2C3
_chemical_formula_sum 'Ce4 Ta4 C6'
_symmetry_space_group_name_H-M 'C 1 2/m 1'
_symmetry_Int_Tables_number 12
_cell_length_a 12.176
_cell_length_b 3.400
_cell_length_c 5.922
_cell_angle_alpha 90.00
_cell_angle_beta 111.44
_cell_angle_gamma 90.00
loop_
_symmetry_equiv_pos_as_xyz
'x,y,z'
'-x,-y,-z'
'-x,y,-z'
'x,-y,z'
'x+1/2,y+1/2,z'
'-x+1/2,-y+1/2,-z'
'-x+1/2,y+1/2,-z'
'x+1/2,-y+1/2,z'
loop_
_atom_site_label
_atom_site_type_symbol
_atom_site_fract_x
_atom_site_fract_y
_atom_site_fract_z
_atom_site_occupancy
Ce1 Ce 0.110 0.000 0.326 1
Ta1 Ta 0.152 0.500 0.832 1
C1 C 0.000 0.500 0.500 1
C2 C 0.247 0.000 0.769 1
```

Tb3CeC8: calculated powder X-ray diffraction pattern (a wavelength of 1.5418 Å), based on the GGA-PBE geometry in Alexandria.
Peak positions follow from Bragg's law for the DFT cell and can differ from measured ones.

Largest 11 diffraction maxima, sorted by position, 2θ = 5–70°:
two_theta, Rel. int.
22.90, 1
25.57, 57
29.28, 100
36.47, 34
46.79, 7
47.44, 59
52.54, 11
54.07, 20
59.31, 13
60.74, 12
61.28, 11

Structure:
```
data_Tb3CeC8
_chemical_formula_sum 'Tb12 Ce4 C32'
_symmetry_space_group_name_H-M 'F m m 2'
_symmetry_Int_Tables_number 42
_symmetry_space_group_name_Hall 'F 2 -2'
_cell_length_a 9.849
_cell_length_b 9.859
_cell_length_c 7.766
_cell_angle_alpha 90.00
_cell_angle_beta 90.00
_cell_angle_gamma 90.00
loop_
_atom_site_label
_atom_site_type_symbol
_atom_site_fract_x
_atom_site_fract_y
_atom_site_fract_z
_atom_site_occupancy
Tb1 Tb 0.000 0.000 0.000 1
Tb2 Tb 0.250 0.250 0.250 1
Ce1 Ce 0.000 0.000 0.499 1
C1 C 0.000 0.166 0.258 1
C2 C 0.000 0.231 0.862 1
C3 C 0.166 0.000 0.743 1
C4 C 0.231 0.000 0.139 1
```

CeTcC2: calculated powder X-ray diffraction pattern (a wavelength of 1.5418 Å), based on the GGA-PBE geometry in Alexandria.
Peak positions follow from Bragg's law for the DFT cell and can differ from measured ones.

Largest 12 diffraction maxima, sorted by position, 2θ = 5–70°:
two_theta, Rel. int.
23.04, 15
28.05, 21
33.71, 100
37.02, 21
37.43, 20
46.74, 18
47.08, 14
49.74, 11
53.35, 9
53.66, 12
63.59, 8
64.61, 15

Structure:
```
data_CeTcC2
_chemical_formula_sum 'Ce2 Tc2 C4'
_symmetry_space_group_name_H-M 'A m m 2'
_symmetry_Int_Tables_number 38
_cell_length_a 3.666
_cell_length_b 4.857
_cell_length_c 6.362
_cell_angle_alpha 90.00
_cell_angle_beta 90.00
_cell_angle_gamma 90.00
loop_
_symmetry_equiv_pos_as_xyz
'x,y,z'
'-x,-y,z'
'-x,y,z'
'x,-y,z'
'x,y+1/2,z+1/2'
'-x,-y+1/2,z+1/2'
'-x,y+1/2,z+1/2'
'x,-y+1/2,z+1/2'
loop_
_atom_site_label
_atom_site_type_symbol
_atom_site_fract_x
_atom_site_fract_y
_atom_site_fract_z
_atom_site_occupancy
Ce1 Ce 0.000 0.000 0.000 1
Tc1 Tc 0.500 0.000 0.391 1
C1 C 0.500 0.146 0.710 1
```